# ThSiSe4
Simulated X-ray diffraction stick pattern, Cu Kα X-rays. Input: a structure optimized by DFT (GGA-PBE).
Neutral-atom scattering factors, no anomalous dispersion.

Principal peaks in the range 2θ = 10–90°, low angle first:
2θ 14.56, intensity 70; 2θ 18.83, intensity 100; 2θ 30.60, intensity 75; 2θ 36.17, intensity 45; 2θ 37.71, intensity 73; 2θ 46.84, intensity 46

Structure:
```
ThSiSe4
1.0
-4.712 4.712 3.981
4.712 -4.712 3.981
4.712 4.712 -3.981
Th Si Se
2 2 8
direct
0.375 0.625 0.750
0.625 0.375 0.250
0.125 0.875 0.250
0.875 0.125 0.750
0.114 0.683 0.431
0.248 0.317 0.931
0.317 0.248 0.431
0.317 0.886 0.069
0.683 0.114 0.931
0.683 0.752 0.569
0.752 0.683 0.069
0.886 0.317 0.569
```

=====

# Nd2Y6Tm5
Simulated X-ray diffraction stick pattern, Cu Kα X-rays. Input: a structure optimized by DFT (GGA-PBE).
Neutral-atom scattering factors, no anomalous dispersion.

Principal peaks in the range 2θ = 10–90°, low angle first:
2θ 30.84, intensity 47; 2θ 31.60, intensity 56; 2θ 31.86, intensity 52; 2θ 32.02, intensity 55; 2θ 32.19, intensity 100; 2θ 34.31, intensity 34

Structure:
```
Nd2Y6Tm5
1.0
11.718 0.000 0.000
0.000 20.149 0.000
0.000 0.000 3.580
Nd Y Tm
4 12 10
direct
0.163 0.215 0.000
0.337 0.715 0.000
0.663 0.285 0.000
0.837 0.785 0.000
0.057 0.921 0.000
0.084 0.633 0.000
0.176 0.374 0.500
0.324 0.874 0.500
0.416 0.133 0.000
0.443 0.421 0.000
0.557 0.579 0.000
0.584 0.867 0.000
0.676 0.126 0.500
0.824 0.626 0.500
0.916 0.367 0.000
0.943 0.079 0.000
0.000 0.500 0.500
0.097 0.776 0.500
0.200 0.050 0.500
0.300 0.550 0.500
0.403 0.276 0.500
0.500 0.000 0.500
0.597 0.724 0.500
0.700 0.450 0.500
0.800 0.950 0.500
0.903 0.224 0.500
```

=====

# Rb3NaTiO4
Simulated X-ray diffraction stick pattern, Cu Kα X-rays. Input: a structure optimized by DFT (GGA-PBE).
Neutral-atom scattering factors, no anomalous dispersion.

Principal peaks in the range 2θ = 10–90°, low angle first:
2θ 29.00, intensity 49; 2θ 29.11, intensity 57; 2θ 29.43, intensity 52; 2θ 31.15, intensity 100; 2θ 35.79, intensity 49; 2θ 36.08, intensity 44

Structure:
```
Rb3NaTiO4
1.0
10.889 0.000 0.000
0.000 6.518 0.000
-4.214 0.000 10.142
Rb Na Ti O
12 4 4 16
direct
0.043 0.152 0.173
0.043 0.348 0.673
0.322 0.624 0.900
0.322 0.876 0.400
0.450 0.105 0.806
0.450 0.395 0.306
0.550 0.605 0.694
0.550 0.895 0.194
0.678 0.124 0.600
0.678 0.376 0.100
0.957 0.652 0.327
0.957 0.848 0.827
0.125 0.615 0.108
0.125 0.885 0.608
0.875 0.115 0.392
0.875 0.385 0.892
0.241 0.132 0.986
0.241 0.368 0.486
0.759 0.632 0.514
0.759 0.868 0.014
0.115 0.164 0.466
0.115 0.336 0.966
0.204 0.015 0.823
0.204 0.485 0.323
0.237 0.574 0.602
0.237 0.926 0.102
0.409 0.245 0.042
0.409 0.255 0.542
0.591 0.745 0.458
0.591 0.755 0.958
0.763 0.074 0.898
0.763 0.426 0.398
0.796 0.515 0.677
0.796 0.985 0.177
0.885 0.664 0.034
0.885 0.836 0.534
```

=====

# NdH3Pd6
Simulated X-ray diffraction stick pattern, Cu Kα X-rays. Input: a structure optimized by DFT (GGA-PBE).
Neutral-atom scattering factors, no anomalous dispersion.

Principal peaks in the range 2θ = 10–90°, low angle first:
2θ 33.97, intensity 50; 2θ 36.21, intensity 100; 2θ 36.39, intensity 93; 2θ 37.71, intensity 70; 2θ 40.17, intensity 48; 2θ 40.37, intensity 50

Structure:
```
NdH3Pd6
1.0
5.502 0.000 0.000
2.644 4.984 0.000
2.691 -0.469 4.938
Nd H Pd
1 3 6
direct
0.000 0.000 0.000
0.334 0.207 0.615
0.509 0.680 0.321
0.685 0.288 0.737
0.248 0.528 0.486
0.287 0.417 0.997
0.291 0.036 0.387
0.711 0.000 0.593
0.714 0.607 0.965
0.757 0.514 0.479
```

=====

# Zn4CoCu
Simulated X-ray diffraction stick pattern, Cu Kα X-rays. Input: a structure optimized by DFT (GGA-PBE).
Neutral-atom scattering factors, no anomalous dispersion.

Principal peaks in the range 2θ = 10–90°, low angle first:
2θ 42.57, intensity 100; 2θ 43.20, intensity 37; 2θ 43.35, intensity 74; 2θ 62.29, intensity 20; 2θ 79.33, intensity 11; 2θ 87.94, intensity 17

Structure:
```
Zn4CoCu
1.0
4.188 0.000 0.000
0.000 7.223 0.000
0.000 0.000 5.245
Zn Co Cu
8 2 2
direct
0.248 0.083 0.242
0.248 0.417 0.758
0.252 0.083 0.758
0.252 0.417 0.242
0.748 0.583 0.758
0.748 0.917 0.242
0.752 0.583 0.242
0.752 0.917 0.758
0.250 0.750 0.000
0.750 0.250 0.000
0.250 0.750 0.500
0.750 0.250 0.500
```

=====

# Si2PRu3
Simulated X-ray diffraction stick pattern, Cu Kα X-rays. Input: a structure optimized by DFT (GGA-PBE).
Neutral-atom scattering factors, no anomalous dispersion.

Principal peaks in the range 2θ = 10–90°, low angle first:
2θ 24.19, intensity 37; 2θ 37.97, intensity 100; 2θ 43.74, intensity 54; 2θ 52.21, intensity 39; 2θ 64.47, intensity 22; 2θ 85.42, intensity 20

Structure:
```
Si2PRu3
1.0
5.006 0.000 0.000
-2.503 4.336 0.000
0.000 0.000 7.360
Si P Ru
4 2 6
direct
0.333 0.667 0.000
0.333 0.667 0.500
0.667 0.333 0.000
0.667 0.333 0.500
0.000 0.000 0.000
0.000 0.000 0.500
0.000 0.326 0.250
0.000 0.674 0.750
0.326 0.000 0.250
0.326 0.326 0.750
0.674 0.000 0.750
0.674 0.674 0.250
```

=====

# Dy2Sc2ZnGa4
Simulated X-ray diffraction stick pattern, Cu Kα X-rays. Input: a structure optimized by DFT (GGA-PBE).
Neutral-atom scattering factors, no anomalous dispersion.

Principal peaks in the range 2θ = 10–90°, low angle first:
2θ 18.57, intensity 44; 2θ 33.54, intensity 100; 2θ 37.65, intensity 50; 2θ 43.15, intensity 27; 2θ 54.30, intensity 21; 2θ 65.36, intensity 28

Structure:
```
Dy2Sc2ZnGa4
1.0
-3.378 3.378 4.366
3.378 -3.378 4.366
3.378 3.378 -4.366
Dy Sc Zn Ga
2 2 1 4
direct
0.195 0.195 0.000
0.805 0.805 0.000
0.250 0.750 0.500
0.750 0.250 0.500
0.500 0.500 0.000
0.250 0.250 0.500
0.250 0.750 0.000
0.750 0.250 0.000
0.750 0.750 0.500
```

=====

# Li2Ga6Co
Simulated X-ray diffraction stick pattern, Cu Kα X-rays. Input: a structure optimized by DFT (GGA-PBE).
Neutral-atom scattering factors, no anomalous dispersion.

Principal peaks in the range 2θ = 10–90°, low angle first:
2θ 21.62, intensity 45; 2θ 30.32, intensity 58; 2θ 36.86, intensity 70; 2θ 40.50, intensity 72; 2θ 44.07, intensity 45; 2θ 48.45, intensity 100

Structure:
```
Li2Ga6Co
1.0
5.895 0.000 0.000
0.000 4.110 0.000
-2.944 0.000 6.058
Li Ga Co
2 6 1
direct
0.216 0.000 0.432
0.784 0.000 0.568
0.137 0.500 0.710
0.258 0.000 0.001
0.426 0.500 0.290
0.574 0.500 0.710
0.742 0.000 0.999
0.863 0.500 0.290
0.000 0.500 0.000
```